Calculated powder XRD pattern
Compound: K2MnCoBr6
Radiation: Cu Kα X-rays
Structure: a DFT-relaxed cell (PBE, Alexandria)

Structure:
```
data_K2MnCoBr6
_chemical_formula_sum 'K6 Mn3 Co3 Br18'
_space_group_name_H-M_alt 'R 3'
_space_group_IT_number 146
_space_group_name_Hall 'R 3'
_cell_length_a 7.4675
_cell_length_b 7.4675
_cell_length_c 17.8691
_cell_angle_alpha 90.00
_cell_angle_beta 90.00
_cell_angle_gamma 120.00
loop_
_atom_site_label
_atom_site_type_symbol
_atom_site_fract_x
_atom_site_fract_y
_atom_site_fract_z
K1 K 0.0000 0.0000 0.0000
K2 K 0.0000 0.0000 0.4982
Mn1 Mn 0.0000 0.0000 0.7500
Co1 Co 0.0000 0.0000 0.2500
Br1 Br 0.0046 0.5611 0.9992
Br2 Br 0.1102 0.3376 0.8346
```

Top 12 peaks for 2θ from 15° to 90°, sorted by position:
Position (°2θ), Rel. int., (hkl)
16.92, 50, 0 1 2
28.21, 48, 1 1 3
29.38, 56, 2 0 2
30.00, 27, 0 0 6
34.23, 100, 0 2 4
37.12, 17, 3 -1 1
38.67, 19, 1 1 6
48.78, 20, 2 2 0
49.60, 33, 2 0 8
51.19, 23, 4 -3 1
57.49, 16, 4 -1 5
63.38, 12, 4 -3 7